(1)
# Sm2Er7Tm4
Computed XRD peak list, CuKα. Input: a DFT-relaxed cell (GGA-PBE, Alexandria).
Peak positions follow from Bragg's law for the DFT cell and can differ from measured ones.

Peak list (10 most intense, 10 to 80 degrees two-theta, most intense first)
2θ 32.78, intensity 100; 2θ 30.55, intensity 47; 2θ 36.21, intensity 31; 2θ 52.86, intensity 30; 2θ 64.28, intensity 26; 2θ 26.94, intensity 20; 2θ 51.42, intensity 19; 2θ 63.60, intensity 14; 2θ 29.78, intensity 14; 2θ 33.86, intensity 14

Atomic structure:
Lattice parameters (Å, degrees): 6.000 6.000 13.236 90.00 90.00 120.00
Fractional positions:
1 Sm 0.333 0.667 0.000
2 Sm 0.667 0.333 0.000
3 Er 0.000 0.000 0.000
4 Er 0.000 0.351 0.216
5 Er 0.000 0.649 0.784
6 Er 0.351 0.000 0.216
7 Er 0.351 0.351 0.784
8 Er 0.649 0.000 0.784
9 Er 0.649 0.649 0.216
10 Tm 0.000 0.000 0.395
11 Tm 0.000 0.000 0.605
12 Tm 0.333 0.667 0.500
13 Tm 0.667 0.333 0.500

---

(2)
# Sm12Er5Tm
Computed XRD peak list, CuKα. Input: a DFT-relaxed cell (GGA-PBE, Alexandria).
Peak positions follow from Bragg's law for the DFT cell and can differ from measured ones.

Peak list (10 most intense, 10 to 80 degrees two-theta, most intense first)
2θ 30.53, intensity 100; 2θ 35.36, intensity 34; 2θ 50.92, intensity 30; 2θ 60.50, intensity 29; 2θ 35.49, intensity 17; 2θ 60.68, intensity 14; 2θ 63.56, intensity 12; 2θ 51.02, intensity 6; 2θ 74.80, intensity 4; 2θ 75.12, intensity 2

Atomic structure:
Lattice parameters (Å, degrees): 10.741 5.078 10.759 90.00 90.21 90.00
Fractional positions:
1 Sm 0.001 0.000 0.168
2 Sm 0.165 0.500 0.665
3 Sm 0.168 0.500 0.001
4 Sm 0.332 0.000 0.499
5 Sm 0.335 0.000 0.834
6 Sm 0.499 0.500 0.332
7 Sm 0.501 0.500 0.668
8 Sm 0.665 0.000 0.166
9 Sm 0.668 0.000 0.501
10 Sm 0.832 0.500 0.999
11 Sm 0.835 0.500 0.335
12 Sm 0.999 0.000 0.832
13 Er 0.167 0.500 0.333
14 Er 0.333 0.000 0.167
15 Er 0.500 0.500 0.000
16 Er 0.667 0.000 0.833
17 Er 0.833 0.500 0.667
18 Tm 0.000 0.000 0.500

---

(3)
# SmEr5Tm4
Computed XRD peak list, CuKα. Input: a DFT-relaxed cell (GGA-PBE, Alexandria).
Peak positions follow from Bragg's law for the DFT cell and can differ from measured ones.

Peak list (10 most intense, 10 to 80 degrees two-theta, most intense first)
2θ 31.87, intensity 100; 2θ 31.13, intensity 87; 2θ 33.42, intensity 46; 2θ 33.73, intensity 43; 2θ 62.86, intensity 33; 2θ 48.21, intensity 32; 2θ 34.81, intensity 18; 2θ 59.61, intensity 18; 2θ 58.76, intensity 18; 2θ 41.91, intensity 16

Atomic structure:
Lattice parameters (Å, degrees): 5.362 6.956 8.662 89.98 72.05 89.95
Fractional positions:
1 Sm 0.000 0.000 0.000
2 Er 0.000 0.499 0.001
3 Er 0.200 0.499 0.601
4 Er 0.389 0.748 0.221
5 Er 0.610 0.748 0.779
6 Er 0.799 0.999 0.401
7 Tm 0.200 0.000 0.600
8 Tm 0.389 0.251 0.221
9 Tm 0.611 0.251 0.779
10 Tm 0.800 0.499 0.399

---

(4)
# Sm2Er4Tm
Computed XRD peak list, CuKα. Input: a DFT-relaxed cell (GGA-PBE, Alexandria).
Peak positions follow from Bragg's law for the DFT cell and can differ from measured ones.

Peak list (10 most intense, 10 to 80 degrees two-theta, most intense first)
2θ 31.22, intensity 100; 2θ 33.59, intensity 61; 2θ 29.89, intensity 43; 2θ 58.12, intensity 17; 2θ 49.21, intensity 17; 2θ 60.38, intensity 17; 2θ 40.06, intensity 15; 2θ 27.67, intensity 14; 2θ 58.63, intensity 13; 2θ 32.59, intensity 11

Atomic structure:
Lattice parameters (Å, degrees): 6.554 6.554 19.346 90.00 90.00 147.17
Fractional positions:
1 Sm 0.110 0.890 0.831
2 Sm 0.390 0.610 0.331
3 Sm 0.610 0.390 0.669
4 Sm 0.890 0.110 0.169
5 Er 0.107 0.893 0.322
6 Er 0.233 0.767 0.066
7 Er 0.267 0.733 0.566
8 Er 0.393 0.607 0.822
9 Er 0.607 0.393 0.178
10 Er 0.733 0.267 0.434
11 Er 0.767 0.233 0.934
12 Er 0.893 0.107 0.678
13 Tm 0.000 0.000 0.500
14 Tm 0.500 0.500 0.000

---

(5)
# Sm8Er3Tm3
Computed XRD peak list, CuKα. Input: a DFT-relaxed cell (GGA-PBE, Alexandria).
Peak positions follow from Bragg's law for the DFT cell and can differ from measured ones.

Peak list (10 most intense, 10 to 80 degrees two-theta, most intense first)
2θ 31.85, intensity 100; 2θ 33.89, intensity 31; 2θ 29.83, intensity 22; 2θ 30.60, intensity 19; 2θ 56.77, intensity 14; 2θ 44.77, intensity 13; 2θ 29.08, intensity 12; 2θ 62.41, intensity 10; 2θ 61.16, intensity 8; 2θ 50.72, intensity 7

Atomic structure:
Lattice parameters (Å, degrees): 9.657 9.657 9.657 146.19 112.00 78.15
Fractional positions:
1 Sm 0.058 0.396 0.662
2 Sm 0.067 0.224 0.843
3 Sm 0.266 0.604 0.662
4 Sm 0.382 0.224 0.157
5 Sm 0.618 0.776 0.843
6 Sm 0.734 0.396 0.338
7 Sm 0.933 0.776 0.157
8 Sm 0.942 0.604 0.338
9 Er 0.000 0.000 0.000
10 Er 0.302 0.000 0.302
11 Er 0.698 0.000 0.698
12 Tm 0.319 0.819 0.500
13 Tm 0.500 0.500 0.000
14 Tm 0.681 0.181 0.500

---

(6)
# Sm16Er7Tm6
Computed XRD peak list, CuKα. Input: a DFT-relaxed cell (GGA-PBE, Alexandria).
Peak positions follow from Bragg's law for the DFT cell and can differ from measured ones.

Peak list (10 most intense, 10 to 80 degrees two-theta, most intense first)
2θ 32.04, intensity 100; 2θ 57.10, intensity 28; 2θ 45.94, intensity 15; 2θ 29.37, intensity 9; 2θ 76.20, intensity 8; 2θ 66.99, intensity 8; 2θ 27.65, intensity 6; 2θ 44.01, intensity 6; 2θ 60.61, intensity 6; 2θ 33.55, intensity 5

Atomic structure:
Lattice parameters (Å, degrees): 11.175 11.175 11.175 60.00 60.00 60.00
Fractional positions:
1 Sm 0.053 0.649 0.649
2 Sm 0.124 0.124 0.124
3 Sm 0.124 0.124 0.627
4 Sm 0.124 0.627 0.124
5 Sm 0.351 0.351 0.351
6 Sm 0.351 0.351 0.947
7 Sm 0.351 0.947 0.351
8 Sm 0.373 0.876 0.876
9 Sm 0.627 0.124 0.124
10 Sm 0.649 0.053 0.649
11 Sm 0.649 0.649 0.053
12 Sm 0.649 0.649 0.649
13 Sm 0.876 0.373 0.876
14 Sm 0.876 0.876 0.373
15 Sm 0.876 0.876 0.876
16 Sm 0.947 0.351 0.351
17 Er 0.000 0.000 0.000
18 Er 0.000 0.000 0.500
19 Er 0.000 0.500 0.000
20 Er 0.000 0.500 0.500
21 Er 0.500 0.000 0.000
22 Er 0.500 0.000 0.500
23 Er 0.500 0.500 0.000
24 Tm 0.266 0.266 0.734
25 Tm 0.266 0.734 0.266
26 Tm 0.266 0.734 0.734
27 Tm 0.734 0.266 0.266
28 Tm 0.734 0.266 0.734
29 Tm 0.734 0.734 0.266

---

(7)
# Sm5Er2Tm2
Computed XRD peak list, CuKα. Input: a DFT-relaxed cell (GGA-PBE, Alexandria).
Peak positions follow from Bragg's law for the DFT cell and can differ from measured ones.

Peak list (8 most intense, 10 to 80 degrees two-theta, most intense first)
2θ 30.68, intensity 100; 2θ 35.57, intensity 51; 2θ 51.19, intensity 36; 2θ 60.86, intensity 36; 2θ 63.89, intensity 12; 2θ 60.93, intensity 7; 2θ 75.35, intensity 4; 2θ 75.25, intensity 2

Atomic structure:
Lattice parameters (Å, degrees): 7.986 7.986 7.981 107.56 107.56 36.83
Fractional positions:
1 Sm 0.000 0.000 0.000
2 Sm 0.223 0.223 0.335
3 Sm 0.334 0.334 0.999
4 Sm 0.666 0.666 0.001
5 Sm 0.777 0.777 0.665
6 Er 0.109 0.109 0.665
7 Er 0.891 0.891 0.335
8 Tm 0.445 0.445 0.664
9 Tm 0.555 0.555 0.336

---

(8)
# Sm3Er4Tm3
Computed XRD peak list, CuKα. Input: a DFT-relaxed cell (GGA-PBE, Alexandria).
Peak positions follow from Bragg's law for the DFT cell and can differ from measured ones.

Peak list (10 most intense, 10 to 80 degrees two-theta, most intense first)
2θ 32.59, intensity 100; 2θ 30.32, intensity 65; 2θ 31.11, intensity 31; 2θ 59.53, intensity 24; 2θ 56.27, intensity 18; 2θ 49.92, intensity 16; 2θ 47.28, intensity 11; 2θ 39.27, intensity 11; 2θ 39.87, intensity 9; 2θ 59.13, intensity 8

Atomic structure:
Lattice parameters (Å, degrees): 3.653 9.322 9.322 89.77 90.00 90.00
Fractional positions:
1 Sm 0.000 0.000 0.000
2 Sm 0.000 0.499 0.846
3 Sm 0.000 0.846 0.499
4 Er 0.500 0.050 0.300
5 Er 0.500 0.300 0.050
6 Er 0.500 0.546 0.546
7 Er 0.500 0.798 0.798
8 Tm 0.000 0.346 0.346
9 Tm 0.500 0.174 0.667
10 Tm 0.500 0.667 0.174